DyCo3Pb4O12: theoretical PXRD pattern (copper Kα), based on a crystal structure in OQMD, relaxed with PBE+U.
Lines closer than 0.1° are merged.

Atomic structure:
Cell: 6.967 6.967 6.967 Å, 109.47 109.47 109.47°
Element x y z (fractional)
Dy1 0.000 0.000 0.000
Co1 0.000 0.500 0.500
Co2 0.500 0.000 0.500
Co3 0.500 0.500 0.000
Pb1 0.000 0.000 0.500
Pb2 0.000 0.500 0.000
Pb3 0.500 0.000 0.000
Pb4 0.500 0.500 0.500
O1 0.147 0.304 0.843
O2 0.157 0.461 0.304
O3 0.157 0.853 0.696
O4 0.304 0.157 0.461
O5 0.304 0.843 0.147
O6 0.461 0.304 0.157
O7 0.539 0.696 0.843
O8 0.696 0.157 0.853
O9 0.696 0.843 0.539
O10 0.843 0.147 0.304
O11 0.843 0.539 0.696
O12 0.853 0.696 0.157

The 6 most intense peaks (10 to 90 degrees two-theta), by angle:
2θ 22.10, d 4.022, I 22; 2θ 31.45, d 2.844, I 100; 2θ 45.08, d 2.011, I 22; 2θ 56.00, d 1.642, I 47; 2θ 65.65, d 1.422, I 13; 2θ 74.61, d 1.272, I 18